No. 1
Li4Ti3Ni3W2O16: theoretical XRD peak list (a wavelength of 1.5418 Å), based on a structure optimized by DFT (GGA+U).
Intensities are scaled so that the largest is 100.

```
Li4Ti3Ni3W2O16
1.0
5.949 0.000 0.000
2.952 5.187 0.000
0.049 0.205 9.747
Li Ti Ni W O
4 3 3 2 16
Direct
0.000 0.000 0.000
0.009 0.984 0.512
0.340 0.320 0.596
0.672 0.662 0.087
0.166 0.171 0.282
0.662 0.180 0.279
0.840 0.339 0.777
0.174 0.656 0.287
0.342 0.832 0.786
0.823 0.834 0.786
0.332 0.340 0.005
0.662 0.677 0.514
0.000 0.007 0.697
0.041 0.463 0.157
0.162 0.177 0.900
0.169 0.659 0.913
0.330 0.843 0.399
0.348 0.306 0.389
0.482 0.038 0.156
0.503 0.463 0.154
0.521 0.959 0.646
0.539 0.496 0.639
0.664 0.169 0.903
0.676 0.637 0.888
0.822 0.836 0.401
0.835 0.327 0.391
0.971 0.503 0.648
0.997 0.003 0.190
```

The 10 most intense peaks (10 to 90 degrees two-theta), sorted by position:
- 19.22°, d 4.619, intensity 45
- 19.38°, d 4.580, intensity 88
- 19.52°, d 4.547, intensity 100
- 19.61°, d 4.526, intensity 51
- 25.00°, d 3.561, intensity 35
- 32.41°, d 2.762, intensity 32
- 32.82°, d 2.729, intensity 30
- 34.91°, d 2.570, intensity 53
- 35.43°, d 2.534, intensity 43
- 35.62°, d 2.521, intensity 31

---

No. 2
LiTl4Ni4O12: theoretical XRD peak list (a wavelength of 1.5418 Å), based on a structure optimized by DFT (GGA+U).
Intensities are scaled so that the largest is 100.

```
LiTl4Ni4O12
1.0
5.275 0.000 0.000
-0.060 5.676 0.000
-0.145 -0.181 7.956
Li Tl Ni O
1 4 4 12
Direct
0.000 0.000 0.000
0.340 0.675 0.401
0.422 0.800 0.890
0.851 0.351 0.859
0.891 0.179 0.391
0.365 0.240 0.643
0.380 0.233 0.147
0.856 0.711 0.168
0.873 0.757 0.636
0.005 0.724 0.871
0.073 0.433 0.585
0.076 0.449 0.215
0.144 0.934 0.211
0.159 0.944 0.575
0.244 0.201 0.895
0.484 0.283 0.398
0.576 0.562 0.692
0.599 0.507 0.071
0.660 0.056 0.710
0.665 0.991 0.088
0.743 0.787 0.407
```

The 10 most intense peaks (10 to 90 degrees two-theta), sorted by position:
- 22.35°, d 3.978, intensity 38
- 22.89°, d 3.885, intensity 22
- 25.48°, d 3.496, intensity 40
- 31.53°, d 2.837, intensity 29
- 31.91°, d 2.804, intensity 42
- 32.21°, d 2.779, intensity 100
- 32.87°, d 2.725, intensity 51
- 33.28°, d 2.692, intensity 22
- 34.00°, d 2.637, intensity 41
- 45.61°, d 1.989, intensity 25

---

No. 3
LiTl4Ni4O12: theoretical XRD peak list (a wavelength of 1.5418 Å), based on a structure optimized by DFT (GGA+U).
Intensities are scaled so that the largest is 100.

```
LiTl4Ni4O12
1.0
5.601 0.000 0.000
0.603 5.569 0.000
0.184 0.133 7.622
Li Tl Ni O
1 4 4 12
Direct
0.000 0.000 0.000
0.222 0.373 0.002
0.230 0.254 0.503
0.651 0.790 0.978
0.726 0.757 0.487
0.214 0.793 0.736
0.217 0.812 0.259
0.714 0.301 0.251
0.723 0.290 0.747
0.042 0.122 0.779
0.048 0.134 0.208
0.111 0.849 0.494
0.275 0.771 0.007
0.387 0.495 0.294
0.405 0.469 0.719
0.513 0.014 0.316
0.525 0.966 0.700
0.639 0.217 0.995
0.813 0.360 0.503
0.879 0.620 0.192
0.925 0.599 0.805
```

The 10 most intense peaks (10 to 90 degrees two-theta), sorted by position:
- 21.32°, d 4.167, intensity 34
- 23.34°, d 3.811, intensity 32
- 23.78°, d 3.742, intensity 25
- 31.34°, d 2.854, intensity 54
- 32.15°, d 2.784, intensity 100
- 32.30°, d 2.772, intensity 54
- 33.51°, d 2.674, intensity 45
- 33.62°, d 2.666, intensity 47
- 47.73°, d 1.905, intensity 26
- 56.60°, d 1.626, intensity 24

---

No. 4
LiTl4Ni4O12: theoretical XRD peak list (a wavelength of 1.5418 Å), based on a structure optimized by DFT (GGA+U).
Intensities are scaled so that the largest is 100.

```
LiTl4Ni4O12
1.0
5.352 0.000 0.000
0.050 5.545 0.000
0.430 0.269 7.986
Li Tl Ni O
1 4 4 12
Direct
0.000 0.000 0.000
0.125 0.053 0.669
0.179 0.195 0.231
0.610 0.671 0.175
0.658 0.553 0.689
0.128 0.586 0.935
0.146 0.620 0.447
0.609 0.113 0.932
0.651 0.112 0.438
0.017 0.566 0.173
0.253 0.652 0.703
0.332 0.917 0.014
0.340 0.909 0.394
0.417 0.407 0.004
0.442 0.428 0.382
0.524 0.158 0.691
0.758 0.062 0.181
0.830 0.782 0.884
0.859 0.818 0.510
0.921 0.285 0.866
0.951 0.327 0.491
```

The 10 most intense peaks (10 to 90 degrees two-theta), sorted by position:
- 22.26°, d 3.993, intensity 61
- 23.04°, d 3.861, intensity 46
- 23.20°, d 3.833, intensity 49
- 31.21°, d 2.866, intensity 81
- 32.12°, d 2.786, intensity 100
- 32.31°, d 2.771, intensity 66
- 32.62°, d 2.745, intensity 85
- 33.26°, d 2.693, intensity 100
- 33.54°, d 2.672, intensity 86
- 45.43°, d 1.997, intensity 43